(1)
# LiSmTl2
Theoretical powder diffraction line list, Cu Kα (λ = 1.5418 Å). Input: the GGA-PBE geometry in the Materials Project.
Intensities are scaled so that the largest is 100.

Main lines, sorted by position (5 to 70 degrees two-theta):
| 2theta | Rel. int. |
| --- | --- |
| 20.67 | 16 |
| 23.91 | 23 |
| 34.07 | 100 |
| 40.18 | 9 |
| 42.05 | 7 |
| 48.95 | 18 |
| 55.19 | 10 |
| 60.98 | 38 |

Atomic structure:
Cell: 7.443 7.443 7.443 Å, 90.00 90.00 90.00°
Atoms (fractional coordinates):
Li 0.000 0.000 0.000
Li 0.000 0.500 0.500
Li 0.500 0.000 0.500
Li 0.500 0.500 0.000
Sm 0.000 0.000 0.500
Sm 0.000 0.500 0.000
Sm 0.500 0.000 0.000
Sm 0.500 0.500 0.500
Tl 0.250 0.250 0.250
Tl 0.250 0.250 0.750
Tl 0.250 0.750 0.250
Tl 0.250 0.750 0.750
Tl 0.750 0.250 0.250
Tl 0.750 0.250 0.750
Tl 0.750 0.750 0.250
Tl 0.750 0.750 0.750

(2)
# Li5Sn2
Theoretical powder diffraction line list, Cu Kα (λ = 1.5418 Å). Input: the GGA-PBE geometry in the Materials Project.
Intensities are scaled so that the largest is 100.

Main lines, sorted by position (5 to 70 degrees two-theta):
| 2theta | Rel. int. |
| --- | --- |
| 22.23 | 100 |
| 23.57 | 39 |
| 27.03 | 22 |
| 31.47 | 25 |
| 38.17 | 42 |
| 38.73 | 40 |
| 42.73 | 17 |
| 47.39 | 30 |

Atomic structure:
Cell: 7.138 7.138 7.138 Å, 38.58 38.58 38.58°
Atoms (fractional coordinates):
Li 0.000 0.000 0.000
Li 0.146 0.146 0.146
Li 0.286 0.286 0.286
Li 0.714 0.714 0.714
Li 0.854 0.854 0.854
Sn 0.426 0.426 0.426
Sn 0.574 0.574 0.574

(3)
# Li2Sn5
Theoretical powder diffraction line list, Cu Kα (λ = 1.5418 Å). Input: the GGA-PBE geometry in the Materials Project.
Intensities are scaled so that the largest is 100.

Main lines, sorted by position (5 to 70 degrees two-theta):
| 2theta | Rel. int. |
| --- | --- |
| 19.18 | 37 |
| 27.26 | 85 |
| 28.25 | 100 |
| 31.17 | 53 |
| 35.78 | 67 |
| 39.66 | 69 |
| 42.57 | 47 |
| 46.21 | 59 |

Atomic structure:
Cell: 10.346 10.346 3.159 Å, 90.00 90.00 90.00°
Atoms (fractional coordinates):
Li 0.175 0.325 0.000
Li 0.325 0.825 0.000
Li 0.675 0.175 0.000
Li 0.825 0.675 0.000
Sn 0.000 0.500 0.500
Sn 0.068 0.795 0.500
Sn 0.205 0.068 0.500
Sn 0.295 0.568 0.500
Sn 0.432 0.295 0.500
Sn 0.500 0.000 0.500
Sn 0.568 0.705 0.500
Sn 0.705 0.432 0.500
Sn 0.795 0.932 0.500
Sn 0.932 0.205 0.500

(4)
# Li3Sn
Theoretical powder diffraction line list, Cu Kα (λ = 1.5418 Å). Input: the GGA-PBE geometry in the Materials Project.
Intensities are scaled so that the largest is 100.

Main lines, sorted by position (5 to 70 degrees two-theta):
| 2theta | Rel. int. |
| --- | --- |
| 23.43 | 100 |
| 27.12 | 53 |
| 38.73 | 58 |
| 45.77 | 53 |
| 47.93 | 15 |
| 55.94 | 10 |
| 61.47 | 22 |
| 63.25 | 21 |

Atomic structure:
Cell: 6.575 6.575 6.575 Å, 90.00 90.00 90.00°
Atoms (fractional coordinates):
Li 0.000 0.000 0.000
Li 0.000 0.500 0.500
Li 0.250 0.250 0.250
Li 0.250 0.250 0.750
Li 0.250 0.750 0.250
Li 0.250 0.750 0.750
Li 0.500 0.000 0.500
Li 0.500 0.500 0.000
Li 0.750 0.250 0.250
Li 0.750 0.250 0.750
Li 0.750 0.750 0.250
Li 0.750 0.750 0.750
Sn 0.000 0.000 0.500
Sn 0.000 0.500 0.000
Sn 0.500 0.000 0.000
Sn 0.500 0.500 0.500

(5)
# LiTbSn2
Theoretical powder diffraction line list, Cu Kα (λ = 1.5418 Å). Input: the GGA-PBE geometry in the Materials Project.
Intensities are scaled so that the largest is 100.

Main lines, sorted by position (5 to 70 degrees two-theta):
| 2theta | Rel. int. |
| --- | --- |
| 24.78 | 14 |
| 28.03 | 14 |
| 31.16 | 15 |
| 31.78 | 100 |
| 34.43 | 17 |
| 39.76 | 18 |
| 41.51 | 16 |
| 67.21 | 12 |

Atomic structure:
Cell: 4.351 19.098 4.534 Å, 90.00 90.00 90.00°
Atoms (fractional coordinates):
Li 0.000 0.173 0.250
Li 0.000 0.827 0.750
Li 0.500 0.327 0.750
Li 0.500 0.673 0.250
Tb 0.000 0.394 0.250
Tb 0.000 0.606 0.750
Tb 0.500 0.106 0.750
Tb 0.500 0.894 0.250
Sn 0.000 0.044 0.250
Sn 0.000 0.248 0.750
Sn 0.000 0.752 0.250
Sn 0.000 0.956 0.750
Sn 0.500 0.252 0.250
Sn 0.500 0.456 0.750
Sn 0.500 0.544 0.250
Sn 0.500 0.748 0.750